No. 1
Diffraction record for TmMg2Sc10. The powder X-ray diffraction pattern is computed, not measured: it uses a cell relaxed with PBE and Cu Kα (λ = 1.5418 Å).
No peak broadening, texture or thermal motion is included.

Atomic structure:
Unit cell a=10.6665 b=8.5303 c=7.6554 alpha=82.26 beta=52.41 gamma=45.33
Atoms (fractional coordinates):
Tm1 0.0000 0.0000 0.0000
Mg1 0.0000 0.5000 0.0000
Mg2 0.5000 0.0000 0.5000
Sc1 0.0000 0.0000 0.5000
Sc2 0.0047 0.6497 0.3503
Sc3 0.2894 0.5013 0.4987
Sc4 0.3503 0.9953 0.0047
Sc5 0.4987 0.7106 0.2894
Sc6 0.5000 0.5000 0.0000
Sc7 0.5013 0.2894 0.7106
Sc8 0.6497 0.0047 0.9953
Sc9 0.7106 0.4987 0.5013
Sc10 0.9953 0.3503 0.6497

The 10 most intense peaks (2θ from 10° to 90°), sorted by position:
two_theta	I (rel.)
11.1	52.2
23.3	36.6
24.8	31.5
29.5	98.4
30.1	35.2
32.4	100.0
33.9	73.9
34.7	93.9
35.7	81.7
61.1	34.3

---

No. 2
Diffraction record for Sm3Y3Th. The powder X-ray diffraction pattern is computed, not measured: it uses a cell relaxed with PBE and Cu Kα (λ = 1.5418 Å).
No peak broadening, texture or thermal motion is included.

Atomic structure:
Unit cell a=6.1713 b=6.1713 c=13.4434 alpha=98.31 beta=98.31 gamma=108.31
Atoms (fractional coordinates):
Sm1 0.1887 0.8113 0.0000
Sm2 0.2236 0.7764 0.5000
Sm3 0.4107 0.4107 0.1156
Sm4 0.5893 0.5893 0.8844
Sm5 0.7764 0.2236 0.5000
Sm6 0.8113 0.1887 0.0000
Y1 0.0466 0.6363 0.2248
Y2 0.2010 0.2010 0.3525
Y3 0.3637 0.9534 0.7752
Y4 0.6363 0.0466 0.2248
Y5 0.7990 0.7990 0.6475
Y6 0.9534 0.3637 0.7752
Th1 0.3407 0.3407 0.6250
Th2 0.6593 0.6593 0.3750

The 10 most intense peaks (2θ from 10° to 90°), sorted by position:
two_theta	I (rel.)
18.4	24.2
28.7	36.4
29.7	49.0
30.5	34.6
31.2	21.5
31.4	65.6
31.9	56.6
32.8	100.0
35.9	25.8
58.2	20.4

---

No. 3
Diffraction record for LaTb5Ho2. The powder X-ray diffraction pattern is computed, not measured: it uses a cell relaxed with PBE and Cu Kα (λ = 1.5418 Å).
No peak broadening, texture or thermal motion is included.

Atomic structure:
Unit cell a=8.5104 b=7.2686 c=6.7833 alpha=74.46 beta=55.37 gamma=50.17
Atoms (fractional coordinates):
La1 0.0000 0.0000 0.0000
Tb1 0.0000 0.5025 0.0000
Tb2 0.0843 0.0843 0.4157
Tb3 0.5025 0.0000 0.4975
Tb4 0.5026 0.5026 0.4974
Tb5 0.5843 0.5843 0.9157
Ho1 0.0873 0.5819 0.4181
Ho2 0.5819 0.0873 0.9127

The 10 most intense peaks (2θ from 10° to 90°), sorted by position:
two_theta	I (rel.)
28.4	23.7
31.2	24.6
32.5	100.0
42.7	15.8
50.2	19.7
56.4	20.9
60.3	22.7
61.1	16.4
82.9	13.9
86.5	8.4

---

No. 4
Diffraction record for Mg4Pt2Au. The powder X-ray diffraction pattern is computed, not measured: it uses a cell relaxed with PBE and Cu Kα (λ = 1.5418 Å).
No peak broadening, texture or thermal motion is included.

Atomic structure:
Unit cell a=7.6441 b=7.6441 c=7.6441 alpha=34.61 beta=34.61 gamma=34.61
Atoms (fractional coordinates):
Mg1 0.1154 0.1154 0.1154
Mg2 0.3700 0.3700 0.3700
Mg3 0.6300 0.6300 0.6300
Mg4 0.8846 0.8846 0.8846
Pt1 0.2459 0.2459 0.2459
Pt2 0.7541 0.7541 0.7541
Au1 0.5000 0.5000 0.5000

The 10 most intense peaks (2θ from 10° to 90°), sorted by position:
two_theta	I (rel.)
12.3	44.6
23.0	24.5
24.1	21.4
28.1	100.0
39.6	83.4
40.6	74.6
49.3	22.3
58.0	26.3
65.0	22.1
72.6	27.1

---

No. 5
Diffraction record for CdHgIr4. The powder X-ray diffraction pattern is computed, not measured: it uses a cell relaxed with PBE and Cu Kα (λ = 1.5418 Å).
No peak broadening, texture or thermal motion is included.

Atomic structure:
Unit cell a=5.2869 b=5.2869 c=5.2869 alpha=60.00 beta=60.00 gamma=60.00
Atoms (fractional coordinates):
Cd1 0.0000 0.0000 0.0000
Hg1 0.7500 0.7500 0.7500
Ir1 0.3749 0.3749 0.3749
Ir2 0.3749 0.3749 0.8752
Ir3 0.3749 0.8752 0.3749
Ir4 0.8752 0.3749 0.3749

The 10 most intense peaks (2θ from 10° to 90°), sorted by position:
two_theta	I (rel.)
20.6	13.4
33.9	21.4
40.0	100.0
41.9	46.6
48.7	7.7
60.7	7.9
64.8	32.5
71.4	28.9
85.1	11.9
86.3	18.4

---

No. 6
Diffraction record for CsTbCuO2. The powder X-ray diffraction pattern is computed, not measured: it uses a cell relaxed with PBE and Cu Kα (λ = 1.5418 Å).
No peak broadening, texture or thermal motion is included.

Atomic structure:
Unit cell a=6.7475 b=4.9234 c=6.8627 alpha=90.00 beta=97.25 gamma=90.00
Atoms (fractional coordinates):
Cs1 0.0000 0.1486 0.2500
Cs2 0.0000 0.8514 0.7500
Tb1 0.5000 0.4920 0.7500
Tb2 0.5000 0.5080 0.2500
Cu1 0.5000 0.0000 0.0000
Cu2 0.5000 0.0000 0.5000
O1 0.3235 0.3231 0.9803
O2 0.3235 0.6769 0.4803
O3 0.6765 0.3231 0.5197
O4 0.6765 0.6769 0.0197

The 10 most intense peaks (2θ from 10° to 90°), sorted by position:
two_theta	I (rel.)
13.2	57.6
22.3	23.8
22.4	80.1
26.2	31.0
26.6	100.0
26.8	35.4
33.4	85.4
36.0	72.5
39.0	55.1
49.5	32.2

---

No. 7
Diffraction record for Sc3Sb4. The powder X-ray diffraction pattern is computed, not measured: it uses a cell relaxed with PBE and Cu Kα (λ = 1.5418 Å).
No peak broadening, texture or thermal motion is included.

Atomic structure:
Unit cell a=5.9835 b=5.9835 c=5.5047 alpha=90.00 beta=90.00 gamma=120.00
Atoms (fractional coordinates):
Sc1 0.0000 0.5000 0.0000
Sc2 0.5000 0.0000 0.0000
Sc3 0.5000 0.5000 0.0000
Sb1 0.0000 0.0000 0.2500
Sb2 0.0000 0.0000 0.7500
Sb3 0.3333 0.6667 0.5000
Sb4 0.6667 0.3333 0.5000

The 10 most intense peaks (2θ from 10° to 90°), sorted by position:
two_theta	I (rel.)
29.9	100.0
34.1	60.1
34.6	22.9
37.0	97.1
38.4	34.0
53.0	21.1
57.8	51.3
62.0	31.0
74.5	23.9
89.9	15.3

---

No. 8
Diffraction record for Ta5Nb4Au2. The powder X-ray diffraction pattern is computed, not measured: it uses a cell relaxed with PBE and Cu Kα (λ = 1.5418 Å).
No peak broadening, texture or thermal motion is included.

Atomic structure:
Unit cell a=2.8404 b=7.2151 c=9.8540 alpha=91.68 beta=95.26 gamma=97.78
Atoms (fractional coordinates):
Ta1 0.0000 0.0000 0.0000
Ta2 0.2566 0.4521 0.3695
Ta3 0.4490 0.0988 0.2694
Ta4 0.5510 0.9012 0.7306
Ta5 0.7434 0.5479 0.6305
Nb1 0.1005 0.8229 0.4587
Nb2 0.1659 0.6431 0.9075
Nb3 0.8341 0.3569 0.0925
Nb4 0.8995 0.1771 0.5413
Au1 0.3772 0.2730 0.8146
Au2 0.6228 0.7270 0.1854

The 10 most intense peaks (2θ from 10° to 90°), sorted by position:
two_theta	I (rel.)
38.1	34.6
38.3	33.8
38.6	100.0
38.8	32.5
55.4	11.4
55.6	22.9
69.3	17.7
70.1	11.3
70.2	11.3
82.6	7.4

---

No. 9
Diffraction record for Yb3Si5. The powder X-ray diffraction pattern is computed, not measured: it uses a cell relaxed with PBE and Cu Kα (λ = 1.5418 Å).
No peak broadening, texture or thermal motion is included.

Atomic structure:
Unit cell a=6.4834 b=6.4834 c=4.2862 alpha=90.00 beta=90.00 gamma=120.00
Atoms (fractional coordinates):
Yb1 0.0000 0.6379 0.0000
Yb2 0.3621 0.3621 0.0000
Yb3 0.6379 0.0000 0.0000
Si1 0.0000 0.2564 0.5000
Si2 0.2564 0.0000 0.5000
Si3 0.3333 0.6667 0.5000
Si4 0.6667 0.3333 0.5000
Si5 0.7436 0.7436 0.5000

The 10 most intense peaks (2θ from 10° to 90°), sorted by position:
two_theta	I (rel.)
20.7	24.7
27.5	53.3
34.7	100.0
42.2	13.2
48.6	18.9
51.1	20.1
53.4	13.1
61.1	13.8
66.3	15.0
72.3	11.9

---

No. 10
Diffraction record for Ho8P3Pb3N. The powder X-ray diffraction pattern is computed, not measured: it uses a cell relaxed with PBE and Cu Kα (λ = 1.5418 Å).
No peak broadening, texture or thermal motion is included.

Atomic structure:
Unit cell a=7.6916 b=7.6916 c=8.9372 alpha=115.45 beta=115.45 gamma=60.05
Atoms (fractional coordinates):
Ho1 0.2121 0.2121 0.6824
Ho2 0.2121 0.7583 0.6824
Ho3 0.2417 0.7879 0.3176
Ho4 0.2675 0.2675 0.3024
Ho5 0.7325 0.7325 0.6976
Ho6 0.7583 0.2121 0.6824
Ho7 0.7879 0.2417 0.3176
Ho8 0.7879 0.7879 0.3176
P1 0.0000 0.5000 0.5000
P2 0.5000 0.0000 0.5000
P3 0.5000 0.5000 0.5000
Pb1 0.0000 0.0000 0.0000
Pb2 0.0000 0.5000 0.0000
Pb3 0.5000 0.0000 0.0000
N1 0.0000 0.0000 0.5000

The 10 most intense peaks (2θ from 10° to 90°), sorted by position:
two_theta	I (rel.)
13.8	20.7
27.0	19.1
30.9	100.0
33.1	42.6
34.7	22.1
41.2	24.7
47.3	23.2
57.6	15.5
58.5	15.5
59.9	24.9

---

No. 11
Diffraction record for Ti4Re. The powder X-ray diffraction pattern is computed, not measured: it uses a cell relaxed with PBE and Cu Kα (λ = 1.5418 Å).
No peak broadening, texture or thermal motion is included.

Atomic structure:
Unit cell a=5.9747 b=5.9747 c=4.9648 alpha=90.00 beta=90.00 gamma=90.00
Atoms (fractional coordinates):
Ti1 0.0912 0.5912 0.2359
Ti2 0.0912 0.9088 0.7641
Ti3 0.4088 0.5912 0.7641
Ti4 0.4088 0.9088 0.2359
Ti5 0.5912 0.0912 0.7641
Ti6 0.5912 0.4088 0.2359
Ti7 0.9088 0.0912 0.2359
Ti8 0.9088 0.4088 0.7641
Re1 0.2500 0.2500 0.5000
Re2 0.7500 0.7500 0.5000

The 10 most intense peaks (2θ from 10° to 90°), sorted by position:
two_theta	I (rel.)
17.9	55.1
21.0	43.0
27.7	100.0
35.1	55.5
38.3	49.6
42.2	51.7
46.7	22.6
47.6	43.2
48.2	49.8
51.8	31.4

---

No. 12
Diffraction record for Ga6CoPd. The powder X-ray diffraction pattern is computed, not measured: it uses a cell relaxed with PBE and Cu Kα (λ = 1.5418 Å).
No peak broadening, texture or thermal motion is included.

Atomic structure:
Unit cell a=5.3098 b=5.3098 c=5.3197 alpha=102.64 beta=102.64 gamma=102.71
Atoms (fractional coordinates):
Ga1 0.1441 0.7096 0.7089
Ga2 0.2900 0.2900 0.8532
Ga3 0.2904 0.8559 0.2911
Ga4 0.7096 0.1441 0.7089
Ga5 0.7100 0.7100 0.1468
Ga6 0.8559 0.2904 0.2911
Co1 0.0000 0.0000 0.0000
Pd1 0.5000 0.5000 0.5000

The 10 most intense peaks (2θ from 10° to 90°), sorted by position:
two_theta	I (rel.)
28.0	14.3
28.7	52.6
35.5	65.9
39.2	31.2
42.4	100.0
43.6	90.6
60.0	23.1
64.0	13.8
66.5	16.8
71.1	14.6